Theoretical X-ray diffraction stick pattern
Compound: ThAl6
Radiation: Cu Kα (λ = 1.5418 Å)
Structure: a cell relaxed with PBE
Peak positions follow from Bragg's law for the DFT cell and can differ from measured ones.

```
14
Lattice="5.9710 0.0000 0.0000 0.0000 5.9710 0.0000 0.0000 0.0000 7.9260" Properties=species:S:1:pos:R:3 pbc="T T T"
Th 1.4928 4.4783 0.0000
Th 4.4783 1.4928 0.0000
Al 0.4733 3.4588 2.8433
Al 0.4733 5.4977 5.0827
Al 1.4928 1.4928 1.2918
Al 1.4928 1.4928 6.6342
Al 2.5122 3.4588 5.0827
Al 2.5122 5.4977 2.8433
Al 3.4588 0.4733 5.0827
Al 3.4588 2.5122 2.8433
Al 4.4783 4.4783 1.2918
Al 4.4783 4.4783 6.6342
Al 5.4977 0.4733 2.8433
Al 5.4977 2.5122 5.0827
```

Peak list (10 most intense, 2θ = 5–70°, sorted by position)
11.2 deg, d = 7.926 Å, I = 100; 21.0 deg, d = 4.222 Å, I = 58; 23.9 deg, d = 3.726 Å, I = 73; 29.9 deg, d = 2.986 Å, I = 32; 30.9 deg, d = 2.890 Å, I = 72; 32.0 deg, d = 2.794 Å, I = 93; 37.7 deg, d = 2.385 Å, I = 32; 40.3 deg, d = 2.240 Å, I = 54; 49.6 deg, d = 1.837 Å, I = 35; 53.8 deg, d = 1.705 Å, I = 36


Theoretical X-ray diffraction stick pattern
Compound: LaAl2Sb2
Radiation: Cu Kα (λ = 1.5418 Å)
Structure: a cell relaxed with PBE
Peak positions follow from Bragg's law for the DFT cell and can differ from measured ones.

```
10
Lattice="8.1472 0.0000 0.0000 0.0000 8.1472 0.0000 0.0000 0.0000 3.8774" Properties=species:S:1:pos:R:3 pbc="T T T"
La 0.0000 0.0000 0.0000
La 4.0736 4.0736 0.0000
Al 1.2057 2.8679 1.9387
Al 2.8679 6.9415 1.9387
Al 5.2793 1.2057 1.9387
Al 6.9415 5.2793 1.9387
Sb 1.1341 5.2077 0.0000
Sb 2.9395 1.1341 0.0000
Sb 5.2077 7.0131 0.0000
Sb 7.0131 2.9395 0.0000
```

Peak list (10 most intense, 2θ = 5–70°, sorted by position)
22.9 deg, d = 3.877 Å, I = 70; 24.4 deg, d = 3.644 Å, I = 45; 31.9 deg, d = 2.809 Å, I = 14; 33.8 deg, d = 2.655 Å, I = 100; 34.8 deg, d = 2.576 Å, I = 83; 42.1 deg, d = 2.146 Å, I = 62; 46.5 deg, d = 1.952 Å, I = 15; 46.9 deg, d = 1.939 Å, I = 18; 59.7 deg, d = 1.549 Å, I = 34; 66.3 deg, d = 1.409 Å, I = 21


Theoretical X-ray diffraction stick pattern
Compound: DyHo3Sc7
Radiation: Cu Kα (λ = 1.5418 Å)
Structure: a cell relaxed with PBE
Peak positions follow from Bragg's law for the DFT cell and can differ from measured ones.

```
11
Lattice="5.9986 -5.2182 0.0000 5.9986 5.2182 0.0000 -2.4488 0.0000 4.8475" Properties=species:S:1:pos:R:3 pbc="T T T"
Dy 0.0000 0.0000 0.0000
Ho 4.7742 2.2008 2.4237
Ho 5.9986 0.0000 0.0000
Ho 4.7742 -2.2008 2.4237
Sc -1.2244 0.0000 2.4237
Sc 1.4965 2.0059 3.8062
Sc 2.7930 0.0000 1.4221
Sc 1.4965 -2.0059 3.8062
Sc 8.0519 2.0059 1.0413
Sc 6.7554 0.0000 3.4254
Sc 8.0519 -2.0059 1.0413
```

Peak list (10 most intense, 2θ = 5–70°, sorted by position)
16.6 deg, d = 5.354 Å, I = 50; 25.1 deg, d = 3.550 Å, I = 100; 33.0 deg, d = 2.715 Å, I = 45; 33.5 deg, d = 2.677 Å, I = 33; 34.4 deg, d = 2.609 Å, I = 19; 34.6 deg, d = 2.590 Å, I = 85; 34.9 deg, d = 2.570 Å, I = 39; 60.0 deg, d = 1.542 Å, I = 17; 60.1 deg, d = 1.539 Å, I = 16; 65.9 deg, d = 1.417 Å, I = 15


Theoretical X-ray diffraction stick pattern
Compound: CaNd3
Radiation: Cu Kα (λ = 1.5418 Å)
Structure: a cell relaxed with PBE
Peak positions follow from Bragg's law for the DFT cell and can differ from measured ones.

```
8
Lattice="7.4995 0.0000 0.0000 -3.7498 6.4948 0.0000 0.0000 0.0000 5.9993" Properties=species:S:1:pos:R:3 pbc="T T T"
Ca 0.0000 4.3298 1.4998
Ca 3.7498 2.1649 4.4995
Nd 0.0000 2.1340 4.4995
Nd -1.9017 5.4278 4.4995
Nd 1.8481 1.0670 1.4998
Nd 1.9017 5.4278 4.4995
Nd 5.6515 1.0670 1.4998
Nd 3.7498 4.3608 1.4998
```

Peak list (10 most intense, 2θ = 5–70°, sorted by position)
13.6 deg, d = 6.495 Å, I = 7; 20.1 deg, d = 4.407 Å, I = 12; 27.5 deg, d = 3.247 Å, I = 23; 29.8 deg, d = 3.000 Å, I = 25; 31.3 deg, d = 2.856 Å, I = 100; 41.0 deg, d = 2.203 Å, I = 16; 48.6 deg, d = 1.875 Å, I = 19; 53.8 deg, d = 1.703 Å, I = 21; 58.0 deg, d = 1.590 Å, I = 23; 58.9 deg, d = 1.567 Å, I = 16


Theoretical X-ray diffraction stick pattern
Compound: Ac2PrTaN4
Radiation: Cu Kα (λ = 1.5418 Å)
Structure: a cell relaxed with PBE
Peak positions follow from Bragg's law for the DFT cell and can differ from measured ones.

```
16
Lattice="1.7870 -6.3080 0.0000 1.7870 6.3080 0.0000 0.0000 0.0000 13.3764" Properties=species:S:1:pos:R:3 pbc="T T T"
Ac 1.7870 4.6158 7.1490
Ac 1.7870 4.6158 12.9156
Ac 1.7870 -4.6158 0.4608
Ac 1.7870 -4.6158 6.2274
Pr 1.7870 1.2329 10.0323
Pr 1.7870 -1.2329 3.3441
Ta 1.7870 2.1821 3.3441
Ta 1.7870 -2.1821 10.0323
N 1.7870 5.2383 10.0323
N 1.7870 3.4755 1.9023
N 1.7870 3.4755 4.7859
N 1.7870 0.0000 0.0000
N 1.7870 0.0000 6.6882
N 1.7870 -3.4755 8.5905
N 1.7870 -3.4755 11.4741
N 1.7870 -5.2383 3.3441
```

Peak list (10 most intense, 2θ = 5–70°, sorted by position)
24.4 deg, d = 3.641 Å, I = 22; 26.7 deg, d = 3.344 Å, I = 61; 28.3 deg, d = 3.154 Å, I = 46; 29.2 deg, d = 3.058 Å, I = 100; 32.9 deg, d = 2.723 Å, I = 31; 33.6 deg, d = 2.669 Å, I = 22; 35.6 deg, d = 2.522 Å, I = 95; 36.5 deg, d = 2.463 Å, I = 26; 39.3 deg, d = 2.294 Å, I = 26; 48.7 deg, d = 1.871 Å, I = 29


Theoretical X-ray diffraction stick pattern
Compound: Pm3ScAg4
Radiation: Cu Kα (λ = 1.5418 Å)
Structure: a cell relaxed with PBE
Peak positions follow from Bragg's law for the DFT cell and can differ from measured ones.

```
8
Lattice="3.6310 0.0000 0.0000 0.0000 3.6310 0.0000 0.0000 0.0000 14.8359" Properties=species:S:1:pos:R:3 pbc="T T T"
Pm 0.0000 0.0000 0.0000
Pm 0.0000 0.0000 3.8528
Pm 0.0000 0.0000 10.9831
Sc 0.0000 0.0000 7.4180
Ag 1.8155 1.8155 1.9151
Ag 1.8155 1.8155 5.8713
Ag 1.8155 1.8155 8.9646
Ag 1.8155 1.8155 12.9208
```

Peak list (10 most intense, 2θ = 5–70°, sorted by position)
6.0 deg, d = 14.836 Å, I = 5; 27.3 deg, d = 3.261 Å, I = 5; 30.5 deg, d = 2.927 Å, I = 10; 34.6 deg, d = 2.595 Å, I = 100; 34.9 deg, d = 2.568 Å, I = 53; 49.1 deg, d = 1.854 Å, I = 7; 50.3 deg, d = 1.816 Å, I = 18; 56.3 deg, d = 1.634 Å, I = 6; 61.7 deg, d = 1.503 Å, I = 14; 62.4 deg, d = 1.488 Å, I = 34


Theoretical X-ray diffraction stick pattern
Compound: Al2PdPt3
Radiation: Cu Kα (λ = 1.5418 Å)
Structure: a cell relaxed with PBE
Peak positions follow from Bragg's law for the DFT cell and can differ from measured ones.

```
12
Lattice="-2.6876 6.4814 2.6879 2.6876 -6.4814 2.6879 2.6876 6.4814 -2.6879" Properties=species:S:1:pos:R:3 pbc="T T T"
Al 1.3094 1.7280 0.0000
Al 1.3094 -1.7280 2.6879
Al 1.3782 8.2094 0.0000
Al 1.3782 4.7533 2.6879
Pd 2.6876 0.0000 1.3440
Pd 0.0000 6.4814 1.3440
Pt 3.9576 2.3284 0.0000
Pt 0.0000 0.0000 1.3440
Pt 1.2700 4.1530 0.0000
Pt 1.4176 2.3284 2.6879
Pt 0.0000 0.0000 4.0319
Pt -1.2700 4.1530 2.6879
```

Peak list (10 most intense, 2θ = 5–70°, sorted by position)
27.2 deg, d = 3.279 Å, I = 40; 36.2 deg, d = 2.483 Å, I = 100; 36.4 deg, d = 2.466 Å, I = 43; 41.8 deg, d = 2.160 Å, I = 24; 43.8 deg, d = 2.069 Å, I = 36; 47.9 deg, d = 1.901 Å, I = 41; 55.9 deg, d = 1.644 Å, I = 11; 61.6 deg, d = 1.505 Å, I = 19; 65.4 deg, d = 1.427 Å, I = 25; 67.5 deg, d = 1.388 Å, I = 20


Theoretical X-ray diffraction stick pattern
Compound: MgSn5Br12
Radiation: Cu Kα (λ = 1.5418 Å)
Structure: a cell relaxed with PBE
Peak positions follow from Bragg's law for the DFT cell and can differ from measured ones.

```
18
Lattice="3.7203 -6.4638 0.0000 3.7203 6.4638 0.0000 -0.0023 0.0000 14.0652" Properties=species:S:1:pos:R:3 pbc="T T T"
Mg 0.0000 0.0000 0.0000
Sn 3.7192 4.3094 7.0326
Sn 3.7203 2.1555 0.0000
Sn 3.7192 0.0000 7.0326
Sn 3.7203 -2.1555 0.0000
Sn 3.7192 -4.3094 7.0326
Br 4.8424 -4.5118 1.5519
Br 2.5960 4.5118 12.5132
Br 1.2363 0.0000 5.3245
Br 2.4821 2.1551 8.7465
Br 4.8424 4.5118 1.5519
Br 2.2490 0.0000 12.5148
Br 2.4821 -2.1551 8.7465
Br 4.9562 2.1551 5.3186
Br 5.1894 0.0000 1.5503
Br 2.5960 -4.5118 12.5132
Br 4.9562 -2.1551 5.3186
Br 6.2020 0.0000 8.7407
```

Peak list (10 most intense, 2θ = 5–70°, sorted by position)
12.6 deg, d = 7.033 Å, I = 92; 24.7 deg, d = 3.599 Å, I = 34; 27.1 deg, d = 3.293 Å, I = 100; 30.6 deg, d = 2.917 Å, I = 89; 35.1 deg, d = 2.556 Å, I = 38; 40.2 deg, d = 2.246 Å, I = 48; 41.9 deg, d = 2.155 Å, I = 21; 42.5 deg, d = 2.125 Å, I = 59; 45.7 deg, d = 1.984 Å, I = 25; 55.8 deg, d = 1.647 Å, I = 18